Record 1
Computed powder XRD pattern
Compound: AlHg2Br8
Radiation: copper Kα
Structure: a crystal structure in Alexandria, relaxed with PBE
Lines closer than 0.1° are merged.

abc: 12.7263 6.6026 11.2622
angles: 90.00 108.75 90.00
Space group C2/m (No. 12)
Unique sites:
Al 0.0000 0.0000 0.0000 x2
Hg 0.1676 0.5000 0.5559 x4
Br 0.0416 0.5000 0.6858 x4
Br 0.1337 0.2453 0.1019 x8
Br 0.1756 0.0000 0.5325 x4

Principal peaks in the range 10° ≤ 2θ ≤ 90°, most intense first:
d_spacing  2θ (°)  intensity  hkl
3.154  28.30  100  0 2 1
3.477  25.62  87  2 0 2
5.454  16.25  61  1 1 -1
5.332  16.63  54  0 0 2
2.691  33.29  46  2 2 1
2.092  43.24  44  2 2 3
5.790  15.30  37  1 1 0
1.951  46.54  28  4 2 -4
2.781  32.19  27  4 0 -3
3.081  28.98  22  4 0 -2

---

Record 2
Computed powder XRD pattern
Compound: CaCoAs
Radiation: copper Kα
Structure: a crystal structure in Alexandria, relaxed with PBE
Lines closer than 0.1° are merged.

abc: 4.0261 4.0261 6.9840
angles: 90.00 90.00 90.00
Space group P4/nmm (No. 129, origin choice 2)
Unique sites:
Ca 0.2500 0.2500 0.1799 x2
Co 0.2500 0.7500 0.5000 x2
As 0.2500 0.2500 0.6878 x2

Principal peaks in the range 10° ≤ 2θ ≤ 90°, most intense first:
d_spacing  2θ (°)  intensity  hkl
6.984  12.67  100  0 0 1
2.207  40.90  83  1 1 2
2.638  33.99  69  1 0 2
2.013  45.03  51  2 0 0
1.601  57.57  41  1 0 4
1.253  75.92  22  2 1 4
1.196  80.26  21  3 1 2
1.802  50.65  19  1 1 3
3.488  25.54  17  1 0 1
1.423  65.58  16  2 2 0

---

Record 3
Computed powder XRD pattern
Compound: RbNpF6
Radiation: copper Kα
Structure: a crystal structure in Alexandria, relaxed with PBE
Lines closer than 0.1° are merged.

abc: 11.3498 5.2894 11.1977
angles: 90.00 101.96 90.00
Space group C2/c (No. 15)
Unique sites:
Rb 0.0000 0.1548 0.2500 x4
Np 0.2500 0.2500 0.0000 x4
F 0.1003 0.3955 0.8800 x8
F 0.1456 0.0709 0.5053 x8
F 0.1918 0.3864 0.1518 x8

Principal peaks in the range 10° ≤ 2θ ≤ 90°, most intense first:
d_spacing  2θ (°)  intensity  hkl
4.241  20.95  100  1 1 1
4.379  20.28  61  2 0 -2
3.059  29.19  38  3 1 -1
4.528  19.61  38  1 1 -1
3.034  29.44  35  1 1 -3
3.549  25.10  32  2 0 2
5.552  15.96  29  2 0 0
5.477  16.18  28  0 0 2
2.160  41.83  17  3 1 3
2.385  37.72  16  2 2 0

---

Record 4
Computed powder XRD pattern
Compound: LiUCu2O6
Radiation: copper Kα
Structure: a crystal structure in Alexandria, relaxed with PBE
Lines closer than 0.1° are merged.

abc: 10.1242 9.2459 5.3674
angles: 90.00 98.97 90.00
Space group C2/c (No. 15)
Unique sites:
Li 0.0000 0.0833 0.2500 x4
U 0.0000 0.2682 0.7500 x4
Cu 0.2019 0.4046 0.3161 x8
O 0.1079 0.2618 0.0929 x8
O 0.1099 0.0993 0.6201 x8
O 0.1335 0.4241 0.6264 x8

Principal peaks in the range 10° ≤ 2θ ≤ 90°, most intense first:
d_spacing  2θ (°)  intensity  hkl
3.979  22.34  100  1 1 1
3.394  26.25  89  2 2 0
2.891  30.93  73  3 1 -1
4.411  20.13  70  1 1 -1
2.626  34.14  61  1 3 -1
4.623  19.20  37  0 2 0
2.541  35.33  35  3 1 1
2.651  33.81  32  0 0 2
1.542  59.99  29  5 3 1
2.098  43.11  28  2 4 0

---

Record 5
Computed powder XRD pattern
Compound: Np4Ge6Ir7
Radiation: copper Kα
Structure: a crystal structure in Alexandria, relaxed with PBE
Lines closer than 0.1° are merged.

abc: 8.4382 8.4382 8.4382
angles: 90.00 90.00 90.00
Space group Im-3m (No. 229)
Unique sites:
Np 0.2500 0.2500 0.2500 x8
Ge 0.0000 0.0000 0.3149 x12
Ir 0.0000 0.0000 0.0000 x2
Ir 0.0000 0.2500 0.5000 x12

Principal peaks in the range 10° ≤ 2θ ≤ 90°, most intense first:
d_spacing  2θ (°)  intensity  hkl
2.436  36.90  100  2 2 2
2.110  42.87  67  4 0 0
1.492  62.24  40  4 4 0
1.272  74.60  32  6 2 2
2.255  39.98  30  3 2 1
2.983  29.95  25  2 2 0
3.445  25.86  18  2 1 1
1.799  50.75  14  3 3 2
1.218  78.54  12  4 4 4
1.244  76.58  9  6 3 1

---

Record 6
Computed powder XRD pattern
Compound: SrNdAl3O7
Radiation: copper Kα
Structure: a crystal structure in Alexandria, relaxed with PBE
Lines closer than 0.1° are merged.

abc: 11.1884 11.2157 5.2351
angles: 90.00 90.00 90.00
Space group Cmm2 (No. 35)
Unique sites:
Sr 0.0000 0.1614 0.0000 x4
Nd 0.1613 0.5000 0.0243 x4
Al 0.0000 0.3585 0.5491 x4
Al 0.1455 0.0000 0.4722 x4
Al 0.2500 0.2500 0.5077 x4
O 0.0000 0.0000 0.3497 x2
O 0.0000 0.3696 0.2146 x4
O 0.0000 0.5000 0.7024 x2
O 0.1257 0.2912 0.6970 x8
O 0.1538 0.0000 0.8045 x4
O 0.2165 0.1230 0.3144 x8

Principal peaks in the range 10° ≤ 2θ ≤ 90°, most intense first:
d_spacing  2θ (°)  intensity  hkl
2.934  30.47  100  3 1 1
2.105  42.97  24  3 1 2
3.158  28.25  21  2 2 1
1.810  50.43  19  4 2 2
3.826  23.25  19  0 2 1
3.542  25.15  17  3 1 0
5.235  16.94  17  0 0 1
2.505  35.85  16  2 4 0
1.565  59.01  15  3 1 3
5.608  15.80  15  0 2 0